Entry 1:
Calculated X-ray diffraction stick pattern
Compound: Pr2Tl5Pb
Radiation: Cu Ka
Structure: a DFT-relaxed cell (GGA-PBE, Alexandria)

Atomic structure:
a = 7.000 Å, b = 13.830 Å, c = 4.773 Å
α = 90.00°, β = 90.00°, γ = 90.00°
Space group Pbam (No. 55)
One atom of each set of equivalent atoms:
1 Pr 0.242 0.124 0.000 x4
2 Tl 0.000 0.500 0.500 x2
3 Tl 0.010 0.750 0.500 x4
4 Tl 0.240 0.373 0.000 x4
5 Pb 0.000 0.000 0.500 x2

Largest 6 diffraction maxima, in order of rising 2θ, 10° ≤ 2θ ≤ 90°:
(2 0 1), d = 2.822 Å, rel. 100; (0 4 1), d = 2.800 Å, rel. 99; (2 4 0), d = 2.460 Å, rel. 69; (0 0 2), d = 2.387 Å, rel. 32; (2 4 2), d = 1.713 Å, rel. 47; (2 8 1), d = 1.474 Å, rel. 29

Entry 2:
Calculated X-ray diffraction stick pattern
Compound: TlCo
Radiation: Cu Ka
Structure: a DFT-relaxed cell (GGA-PBE, Alexandria)

Atomic structure:
a = 12.609 Å, b = 2.984 Å, c = 6.673 Å
α = 90.00°, β = 117.34°, γ = 90.00°
Space group Cm (No. 8)
One atom of each set of equivalent atoms:
1 Tl 0.000 0.000 0.000 x2
2 Tl 0.047 0.000 0.545 x2
3 Tl 0.279 0.000 0.106 x2
4 Co 0.185 0.500 0.350 x2
5 Co 0.263 0.500 0.738 x2
6 Co 0.356 0.000 0.570 x2

Largest 6 diffraction maxima, in order of rising 2θ, 10° ≤ 2θ ≤ 90°:
(0 0 2), d = 2.964 Å, rel. 61; (1 1 0), d = 2.884 Å, rel. 60; (4 0 0), d = 2.800 Å, rel. 63; (4 0 -2), d = 2.766 Å, rel. 61; (3 1 0), d = 2.331 Å, rel. 80; (1 1 -2), d = 2.201 Å, rel. 100

Entry 3:
Calculated X-ray diffraction stick pattern
Compound: NdU2Se4
Radiation: Cu Ka
Structure: a DFT-relaxed cell (GGA-PBE, Alexandria)

Atomic structure:
a = 3.977 Å, b = 13.515 Å, c = 14.039 Å
α = 90.00°, β = 90.00°, γ = 90.00°
Space group Cmcm (No. 63)
One atom of each set of equivalent atoms:
1 Nd 0.000 0.114 0.250 x4
2 U 0.000 0.363 0.064 x8
3 Se 0.000 0.000 0.000 x4
4 Se 0.000 0.278 0.626 x8
5 Se 0.000 0.450 0.250 x4

Largest 6 diffraction maxima, in order of rising 2θ, 10° ≤ 2θ ≤ 90°:
(0 2 3), d = 3.847 Å, rel. 100; (1 3 0), d = 2.981 Å, rel. 42; (1 3 1), d = 2.916 Å, rel. 64; (1 3 2), d = 2.744 Å, rel. 86; (1 1 5), d = 2.261 Å, rel. 67; (0 6 3), d = 2.030 Å, rel. 37

Entry 4:
Calculated X-ray diffraction stick pattern
Compound: AgRuSe
Radiation: Cu Ka
Structure: a DFT-relaxed cell (GGA-PBE, Alexandria)

Atomic structure:
a = 3.032 Å, b = 3.032 Å, c = 11.852 Å
α = 90.00°, β = 90.00°, γ = 90.00°
Space group I4mm (No. 107)
One atom of each set of equivalent atoms:
1 Ag 0.000 0.000 0.000 x2
2 Ru 0.000 0.000 0.330 x2
3 Se 0.000 0.000 0.723 x2

Largest 6 diffraction maxima, in order of rising 2θ, 10° ≤ 2θ ≤ 90°:
(0 0 2), d = 5.926 Å, rel. 15; (0 0 4), d = 2.963 Å, rel. 13; (1 0 3), d = 2.405 Å, rel. 100; (1 1 0), d = 2.144 Å, rel. 45; (2 0 0), d = 1.516 Å, rel. 14; (2 1 3), d = 1.282 Å, rel. 26

Entry 5:
Calculated X-ray diffraction stick pattern
Compound: NdYOs4
Radiation: Cu Ka
Structure: a DFT-relaxed cell (GGA-PBE, Alexandria)

Atomic structure:
a = 7.643 Å, b = 7.643 Å, c = 7.643 Å
α = 90.00°, β = 90.00°, γ = 90.00°
Space group F-43m (No. 216)
One atom of each set of equivalent atoms:
1 Nd 0.000 0.000 0.000 x4
2 Y 0.250 0.250 0.250 x4
3 Os 0.125 0.125 0.625 x16

Largest 6 diffraction maxima, in order of rising 2θ, 10° ≤ 2θ ≤ 90°:
(1 1 1), d = 4.413 Å, rel. 26; (3 1 1), d = 2.304 Å, rel. 100; (2 2 2), d = 2.206 Å, rel. 56; (5 1 1), d = 1.471 Å, rel. 33; (4 4 0), d = 1.351 Å, rel. 31; (6 2 2), d = 1.152 Å, rel. 22

Entry 6:
Calculated X-ray diffraction stick pattern
Compound: Rb2AlOsF6
Radiation: Cu Ka
Structure: a DFT-relaxed cell (GGA-PBE, Alexandria)

Atomic structure:
a = 5.584 Å, b = 5.584 Å, c = 11.036 Å
α = 90.00°, β = 90.00°, γ = 90.00°
Space group I4/mmm (No. 139)
One atom of each set of equivalent atoms:
1 Rb 0.000 0.500 0.250 x4
2 Al 0.000 0.000 0.000 x2
3 Os 0.000 0.000 0.500 x2
4 F 0.000 0.000 0.162 x4
5 F 0.235 0.235 0.000 x8

Largest 6 diffraction maxima, in order of rising 2θ, 10° ≤ 2θ ≤ 90°:
(1 0 1), d = 4.983 Å, rel. 33; (1 1 2), d = 3.211 Å, rel. 100; (1 0 3), d = 3.072 Å, rel. 24; (2 0 0), d = 2.792 Å, rel. 31; (0 0 4), d = 2.759 Å, rel. 24; (3 1 2), d = 1.682 Å, rel. 30